No. 1
This entry pairs a crystal structure of Li2VO2 with its calculated powder X-ray diffraction pattern. Radiation: copper Kα. Structure: a cell relaxed with GGA+U.
Intensities are scaled so that the largest is 100.

```
data_Li2VO2
_cell_length_a 3.2302
_cell_length_b 3.2302
_cell_length_c 5.1931
_cell_angle_alpha 90.00
_cell_angle_beta 90.00
_cell_angle_gamma 120.00
_space_group_name_H-M_alt 'P -3 m 1'
_space_group_IT_number 164
_space_group_name_Hall '-P 3 2"'
loop_
_atom_site_label
_atom_site_fract_x
_atom_site_fract_y
_atom_site_fract_z
Li1 0.3333 0.6667 0.1346
V1 0.0000 0.0000 0.5000
O1 0.3333 0.6667 0.7402
```

Largest 6 diffraction maxima, by intensity, 2θ from 5° to 70°:
2θ/deg  Rel. int.  (hkl)
36.48  100  0 1 1
17.07  77  0 0 1
47.79  60  0 1 2
57.02  30  1 1 0
31.99  18  1 0 0
63.16  17  1 0 3

=====

No. 2
This entry pairs a crystal structure of Li9V3W7O28 with its calculated powder X-ray diffraction pattern. Radiation: copper Kα. Structure: a cell relaxed with GGA+U.
Intensities are scaled so that the largest is 100.

```
data_Li9V3W7O28
_cell_length_a 12.0807
_cell_length_b 12.0807
_cell_length_c 14.8428
_cell_angle_alpha 90.00
_cell_angle_beta 90.00
_cell_angle_gamma 120.00
_space_group_name_H-M_alt 'R 3 m'
_space_group_IT_number 160
_space_group_name_Hall 'R 3 -2"'
loop_
_atom_site_label
_atom_site_fract_x
_atom_site_fract_y
_atom_site_fract_z
Li1 0.0089 0.2789 0.0000
Li2 0.0871 0.1742 0.6280
V1 0.1726 0.3451 0.8238
W1 0.0000 0.0000 0.0158
W2 0.1673 0.3345 0.1960
W3 0.1897 0.0948 0.8168
O1 0.0000 0.0000 0.7579
O2 0.0001 0.2356 0.7439
O3 0.0027 0.2529 0.2380
O4 0.0764 0.1529 0.8970
O5 0.1672 0.0836 0.0628
O6 0.1674 0.3347 0.0746
O7 0.1703 0.0852 0.5716
O8 0.1769 0.3537 0.5694
```

Largest 6 diffraction maxima, by intensity, 2θ from 5° to 70°:
2θ/deg  Rel. int.  (hkl)
17.96  100  0 0 3
31.38  77  3 0 3
25.52  64  3 0 0
10.34  64  1 0 1
33.13  32  3 1 2
29.56  29  2 2 0

=====

No. 3
This entry pairs a crystal structure of Li4Y3VO8 with its calculated powder X-ray diffraction pattern. Radiation: copper Kα. Structure: a cell relaxed with GGA+U.
Intensities are scaled so that the largest is 100.

```
data_Li4Y3VO8
_cell_length_a 5.8791
_cell_length_b 8.5080
_cell_length_c 8.6092
_cell_angle_alpha 93.20
_cell_angle_beta 107.03
_cell_angle_gamma 108.39
_space_group_name_H-M_alt 'P 1'
_space_group_IT_number 1
_space_group_name_Hall 'P 1'
loop_
_atom_site_label
_atom_site_fract_x
_atom_site_fract_y
_atom_site_fract_z
Li1 0.0000 0.0000 0.0000
Li2 0.0009 0.4999 0.4998
Li3 0.4696 0.1330 0.8906
Li4 0.4732 0.6325 0.3898
Li5 0.4950 0.5009 0.0035
Li6 0.4968 0.0001 0.5029
Li7 0.9782 0.1424 0.3914
Li8 0.9816 0.6405 0.8894
Y1 0.4898 0.2543 0.2579
Y2 0.4910 0.7543 0.7576
Y3 0.4965 0.8737 0.1338
Y4 0.4968 0.3734 0.6340
Y5 0.9943 0.3795 0.1248
Y6 0.9953 0.8792 0.6245
V1 0.9901 0.2534 0.7567
V2 0.9903 0.7539 0.2561
O1 0.1973 0.6494 0.1500
O2 0.1976 0.1497 0.6513
O3 0.2266 0.2615 0.0078
O4 0.2272 0.7617 0.5072
O5 0.2530 0.4820 0.7526
O6 0.2530 0.9819 0.2524
O7 0.2622 0.3694 0.3716
O8 0.2632 0.8692 0.8711
O9 0.7150 0.1422 0.1455
O10 0.7164 0.6418 0.6456
O11 0.7327 0.2567 0.5185
O12 0.7327 0.7573 0.0190
O13 0.7708 0.5063 0.2461
O14 0.7716 0.0059 0.7457
O15 0.7805 0.8569 0.3609
O16 0.7812 0.3566 0.8607
```

Largest 6 diffraction maxima, by intensity, 2θ from 5° to 70°:
2θ/deg  Rel. int.  (hkl)
22.33  100  1 1 -1
21.89  96  1 -1 1
33.98  72  2 0 0
35.97  51  -2 2 2
40.59  40  1 -1 3
41.60  37  1 3 -1

=====

Q: Which formula does entry 1 have?
A: Li2VO2